(1)
This entry pairs a crystal structure of ZnCuN with its theoretical powder diffraction line list. Radiation: copper Kα. Structure: a crystal structure in the Materials Project, relaxed with PBE.

```
data_ZnCuN
_chemical_formula_sum 'Zn1 Cu1 N1'
_symmetry_space_group_name_H-M 'P 1'
_symmetry_Int_Tables_number 1
_symmetry_space_group_name_Hall 'P 1'
_cell_length_a 3.742
_cell_length_b 3.604
_cell_length_c 3.604
_cell_angle_alpha 55.79
_cell_angle_beta 90.00
_cell_angle_gamma 90.00
loop_
_atom_site_label
_atom_site_type_symbol
_atom_site_fract_x
_atom_site_fract_y
_atom_site_fract_z
Zn1 Zn 0.000 0.000 0.000
Cu1 Cu 0.500 0.304 0.304
N1 N 0.500 0.991 0.991
```

The 10 most intense peaks (2θ from 10° to 90°), most intense first:
38.62 deg, intensity 100
37.06 deg, intensity 76
29.98 deg, intensity 75
50.81 deg, intensity 44
48.67 deg, intensity 27
73.00 deg, intensity 26
67.67 deg, intensity 24
58.23 deg, intensity 20
54.41 deg, intensity 19
28.01 deg, intensity 17

---

(2)
This entry pairs a crystal structure of Sr2YCu2Bi2O8 with its theoretical powder diffraction line list. Radiation: copper Kα. Structure: a crystal structure in the Materials Project, relaxed with PBE.

```
data_Sr2YCu2Bi2O8
_chemical_formula_sum 'Sr2 Y1 Cu2 Bi2 O8'
_symmetry_space_group_name_H-M 'P 1'
_symmetry_Int_Tables_number 1
_symmetry_space_group_name_Hall 'P 1'
_cell_length_a 15.600
_cell_length_b 15.600
_cell_length_c 15.600
_cell_angle_alpha 166.00
_cell_angle_beta 166.00
_cell_angle_gamma 19.84
loop_
_atom_site_label
_atom_site_type_symbol
_atom_site_fract_x
_atom_site_fract_y
_atom_site_fract_z
Sr1 Sr 0.113 0.113 0.000
Sr2 Sr 0.887 0.887 0.000
Y1 Y 0.000 0.000 0.000
Cu1 Cu 0.449 0.449 0.000
Cu2 Cu 0.551 0.551 0.000
Bi1 Bi 0.297 0.297 0.000
Bi2 Bi 0.703 0.703 0.000
O1 O 0.048 0.548 0.500
O2 O 0.201 0.201 0.000
O3 O 0.366 0.366 0.000
O4 O 0.452 0.952 0.500
O5 O 0.548 0.048 0.500
O6 O 0.634 0.634 0.000
O7 O 0.799 0.799 0.000
O8 O 0.952 0.452 0.500
```

The 10 most intense peaks (2θ from 10° to 90°), most intense first:
33.33 deg, intensity 100
31.12 deg, intensity 100
27.59 deg, intensity 86
47.86 deg, intensity 47
44.80 deg, intensity 40
58.20 deg, intensity 36
24.99 deg, intensity 34
56.14 deg, intensity 26
49.14 deg, intensity 26
35.04 deg, intensity 25

---

(3)
This entry pairs a crystal structure of LiC2O5 with its theoretical powder diffraction line list. Radiation: copper Kα. Structure: a crystal structure in the Materials Project, relaxed with PBE.

```
data_LiC2O5
_chemical_formula_sum 'Li1 C2 O5'
_symmetry_space_group_name_H-M 'P 1'
_symmetry_Int_Tables_number 1
_symmetry_space_group_name_Hall 'P 1'
_cell_length_a 3.675
_cell_length_b 5.951
_cell_length_c 6.889
_cell_angle_alpha 72.99
_cell_angle_beta 84.35
_cell_angle_gamma 86.33
loop_
_atom_site_label
_atom_site_type_symbol
_atom_site_fract_x
_atom_site_fract_y
_atom_site_fract_z
Li1 Li 0.000 0.000 0.000
C1 C 0.026 0.151 0.427
C2 C 0.621 0.556 0.642
O1 O 0.127 0.083 0.591
O2 O 0.483 0.644 0.489
O3 O 0.505 0.957 0.995
O4 O 0.762 0.466 0.793
O5 O 0.922 0.220 0.263
```

The 10 most intense peaks (2θ from 10° to 90°), most intense first:
31.50 deg, intensity 100
30.44 deg, intensity 97
28.54 deg, intensity 91
13.49 deg, intensity 60
23.46 deg, intensity 34
27.17 deg, intensity 34
34.48 deg, intensity 26
15.58 deg, intensity 20
35.30 deg, intensity 19
35.19 deg, intensity 16

---

(4)
This entry pairs a crystal structure of BaMg14Mn with its theoretical powder diffraction line list. Radiation: copper Kα. Structure: a crystal structure in the Materials Project, relaxed with PBE.

```
data_BaMg14Mn
_chemical_formula_sum 'Ba1 Mg14 Mn1'
_symmetry_space_group_name_H-M 'P 1'
_symmetry_Int_Tables_number 1
_symmetry_space_group_name_Hall 'P 1'
_cell_length_a 6.592
_cell_length_b 6.592
_cell_length_c 10.498
_cell_angle_alpha 90.00
_cell_angle_beta 90.00
_cell_angle_gamma 120.00
loop_
_atom_site_label
_atom_site_type_symbol
_atom_site_fract_x
_atom_site_fract_y
_atom_site_fract_z
Ba1 Ba 0.000 0.000 0.000
Mg1 Mg 0.016 0.508 0.000
Mg2 Mg 0.167 0.333 0.276
Mg3 Mg 0.167 0.333 0.724
Mg4 Mg 0.167 0.833 0.276
Mg5 Mg 0.167 0.833 0.724
Mg6 Mg 0.492 0.508 0.000
Mg7 Mg 0.492 0.984 0.000
Mg8 Mg 0.505 0.010 0.500
Mg9 Mg 0.505 0.495 0.500
Mg10 Mg 0.667 0.333 0.241
Mg11 Mg 0.667 0.333 0.759
Mg12 Mg 0.667 0.833 0.276
Mg13 Mg 0.667 0.833 0.724
Mg14 Mg 0.990 0.495 0.500
Mn1 Mn 0.000 0.000 0.500
```

The 10 most intense peaks (2θ from 10° to 90°), most intense first:
35.81 deg, intensity 100
15.52 deg, intensity 32
31.34 deg, intensity 29
23.02 deg, intensity 26
34.16 deg, intensity 23
55.79 deg, intensity 18
47.04 deg, intensity 18
67.06 deg, intensity 17
62.24 deg, intensity 17
68.08 deg, intensity 14

---

(5)
This entry pairs a crystal structure of YMg6Ga with its theoretical powder diffraction line list. Radiation: copper Kα. Structure: a crystal structure in the Materials Project, relaxed with PBE.

```
data_YMg6Ga
_chemical_formula_sum 'Y1 Mg6 Ga1'
_symmetry_space_group_name_H-M 'P 1'
_symmetry_Int_Tables_number 1
_symmetry_space_group_name_Hall 'P 1'
_cell_length_a 4.984
_cell_length_b 6.566
_cell_length_c 6.566
_cell_angle_alpha 60.24
_cell_angle_beta 90.00
_cell_angle_gamma 90.00
loop_
_atom_site_label
_atom_site_type_symbol
_atom_site_fract_x
_atom_site_fract_y
_atom_site_fract_z
Y1 Y 0.000 0.000 0.000
Mg1 Mg 0.000 0.000 0.513
Mg2 Mg 0.000 0.511 0.511
Mg3 Mg 0.000 0.513 0.000
Mg4 Mg 0.500 0.342 0.342
Mg5 Mg 0.500 0.352 0.837
Mg6 Mg 0.500 0.837 0.352
Ga1 Ga 0.500 0.845 0.845
```

The 10 most intense peaks (2θ from 10° to 90°), most intense first:
36.31 deg, intensity 100
15.56 deg, intensity 69
36.42 deg, intensity 58
68.46 deg, intensity 36
36.04 deg, intensity 36
23.74 deg, intensity 31
31.39 deg, intensity 31
65.00 deg, intensity 27
32.66 deg, intensity 23
48.55 deg, intensity 23

---

(6)
This entry pairs a crystal structure of YC9Br3O12 with its theoretical powder diffraction line list. Radiation: copper Kα. Structure: a crystal structure in the Materials Project, relaxed with PBE.

```
data_YC9Br3O12
_chemical_formula_sum 'Y2 C18 Br6 O24'
_symmetry_space_group_name_H-M 'P 1'
_symmetry_Int_Tables_number 1
_symmetry_space_group_name_Hall 'P 1'
_cell_length_a 9.527
_cell_length_b 9.915
_cell_length_c 11.244
_cell_angle_alpha 66.88
_cell_angle_beta 69.63
_cell_angle_gamma 78.89
loop_
_atom_site_label
_atom_site_type_symbol
_atom_site_fract_x
_atom_site_fract_y
_atom_site_fract_z
Y1 Y 0.221 0.239 0.254
Y2 Y 0.779 0.761 0.746
C1 C 0.020 0.358 0.488
C2 C 0.064 0.631 0.385
C3 C 0.087 0.495 0.367
C4 C 0.363 0.089 0.030
C5 C 0.378 0.998 0.452
C6 C 0.379 0.018 0.940
C7 C 0.439 0.141 0.429
C8 C 0.442 0.863 0.521
C9 C 0.493 0.078 0.085
C10 C 0.507 0.922 0.915
C11 C 0.558 0.137 0.479
C12 C 0.561 0.859 0.571
C13 C 0.621 0.982 0.060
C14 C 0.622 0.002 0.548
C15 C 0.637 0.911 0.970
C16 C 0.913 0.505 0.633
C17 C 0.936 0.369 0.615
C18 C 0.980 0.642 0.512
Br1 Br 0.140 0.798 0.236
Br2 Br 0.226 0.042 0.862
Br3 Br 0.376 0.685 0.544
Br4 Br 0.624 0.315 0.456
Br5 Br 0.774 0.958 0.138
Br6 Br 0.860 0.202 0.764
O1 O 0.029 0.692 0.802
O2 O 0.042 0.828 0.735
O3 O 0.047 0.240 0.463
O4 O 0.123 0.414 0.857
O5 O 0.162 0.473 0.257
O6 O 0.245 0.162 0.075
O7 O 0.259 0.575 0.933
O8 O 0.270 0.014 0.405
O9 O 0.365 0.473 0.951
O10 O 0.377 0.258 0.365
O11 O 0.438 0.427 0.851
O12 O 0.472 0.159 0.154
O13 O 0.528 0.841 0.846
O14 O 0.562 0.573 0.149
O15 O 0.623 0.742 0.635
O16 O 0.635 0.527 0.049
O17 O 0.730 0.986 0.595
O18 O 0.741 0.425 0.067
O19 O 0.755 0.838 0.925
O20 O 0.838 0.527 0.743
O21 O 0.877 0.586 0.143
O22 O 0.953 0.760 0.537
O23 O 0.958 0.172 0.265
O24 O 0.971 0.308 0.198
```

The 10 most intense peaks (2θ from 10° to 90°), most intense first:
23.11 deg, intensity 100
22.75 deg, intensity 83
19.22 deg, intensity 75
19.46 deg, intensity 65
26.84 deg, intensity 60
15.41 deg, intensity 59
18.36 deg, intensity 54
37.21 deg, intensity 52
20.55 deg, intensity 49
18.89 deg, intensity 47

---

(7)
This entry pairs a crystal structure of Nb6GaSn with its theoretical powder diffraction line list. Radiation: copper Kα. Structure: a crystal structure in the Materials Project, relaxed with PBE.

```
data_Nb6GaSn
_chemical_formula_sum 'Nb6 Ga1 Sn1'
_symmetry_space_group_name_H-M 'P 1'
_symmetry_Int_Tables_number 1
_symmetry_space_group_name_Hall 'P 1'
_cell_length_a 5.267
_cell_length_b 5.267
_cell_length_c 5.267
_cell_angle_alpha 90.00
_cell_angle_beta 90.00
_cell_angle_gamma 90.00
loop_
_atom_site_label
_atom_site_type_symbol
_atom_site_fract_x
_atom_site_fract_y
_atom_site_fract_z
Nb1 Nb 0.000 0.250 0.500
Nb2 Nb 0.000 0.750 0.500
Nb3 Nb 0.250 0.500 0.000
Nb4 Nb 0.500 0.000 0.250
Nb5 Nb 0.500 0.000 0.750
Nb6 Nb 0.750 0.500 0.000
Ga1 Ga 0.000 0.000 0.000
Sn1 Sn 0.500 0.500 0.500
```

The 10 most intense peaks (2θ from 10° to 90°), most intense first:
38.21 deg, intensity 100
42.02 deg, intensity 77
66.41 deg, intensity 39
34.04 deg, intensity 35
63.70 deg, intensity 22
84.24 deg, intensity 19
71.67 deg, intensity 15
81.77 deg, intensity 11
86.71 deg, intensity 10
60.93 deg, intensity 8

---

(8)
This entry pairs a crystal structure of Zn7SnN6 with its theoretical powder diffraction line list. Radiation: copper Kα. Structure: a crystal structure in the Materials Project, relaxed with PBE.

```
data_Zn7SnN6
_chemical_formula_sum 'Zn28 Sn4 N24'
_symmetry_space_group_name_H-M 'P 1'
_symmetry_Int_Tables_number 1
_symmetry_space_group_name_Hall 'P 1'
_cell_length_a 10.848
_cell_length_b 6.036
_cell_length_c 12.476
_cell_angle_alpha 90.00
_cell_angle_beta 90.00
_cell_angle_gamma 90.00
loop_
_atom_site_label
_atom_site_type_symbol
_atom_site_fract_x
_atom_site_fract_y
_atom_site_fract_z
Zn1 Zn 0.000 0.090 0.250
Zn2 Zn 0.000 0.910 0.750
Zn3 Zn 0.035 0.267 0.042
Zn4 Zn 0.035 0.733 0.542
Zn5 Zn 0.207 0.136 0.574
Zn6 Zn 0.207 0.864 0.074
Zn7 Zn 0.243 0.152 0.847
Zn8 Zn 0.243 0.848 0.347
Zn9 Zn 0.257 0.348 0.347
Zn10 Zn 0.257 0.652 0.847
Zn11 Zn 0.293 0.364 0.074
Zn12 Zn 0.293 0.636 0.574
Zn13 Zn 0.465 0.233 0.542
Zn14 Zn 0.465 0.767 0.042
Zn15 Zn 0.500 0.410 0.750
Zn16 Zn 0.500 0.590 0.250
Zn17 Zn 0.535 0.233 0.958
Zn18 Zn 0.535 0.767 0.458
Zn19 Zn 0.707 0.364 0.426
Zn20 Zn 0.707 0.636 0.926
Zn21 Zn 0.743 0.348 0.153
Zn22 Zn 0.743 0.652 0.653
Zn23 Zn 0.757 0.152 0.653
Zn24 Zn 0.757 0.848 0.153
Zn25 Zn 0.793 0.136 0.926
Zn26 Zn 0.793 0.864 0.426
Zn27 Zn 0.965 0.267 0.458
Zn28 Zn 0.965 0.733 0.958
Sn1 Sn 0.000 0.399 0.750
Sn2 Sn 0.000 0.601 0.250
Sn3 Sn 0.500 0.101 0.250
Sn4 Sn 0.500 0.899 0.750
N1 N 0.073 0.351 0.349
N2 N 0.073 0.649 0.849
N3 N 0.133 0.155 0.718
N4 N 0.133 0.845 0.218
N5 N 0.183 0.149 0.996
N6 N 0.183 0.851 0.496
N7 N 0.317 0.351 0.496
N8 N 0.317 0.649 0.996
N9 N 0.367 0.345 0.218
N10 N 0.367 0.655 0.718
N11 N 0.427 0.149 0.849
N12 N 0.427 0.851 0.349
N13 N 0.573 0.149 0.651
N14 N 0.573 0.851 0.151
N15 N 0.633 0.345 0.282
N16 N 0.633 0.655 0.782
N17 N 0.683 0.351 0.004
N18 N 0.683 0.649 0.504
N19 N 0.817 0.149 0.504
N20 N 0.817 0.851 0.004
N21 N 0.867 0.155 0.782
N22 N 0.867 0.845 0.282
N23 N 0.927 0.351 0.151
N24 N 0.927 0.649 0.651
```

The 10 most intense peaks (2θ from 10° to 90°), most intense first:
34.77 deg, intensity 100
33.02 deg, intensity 72
33.13 deg, intensity 71
36.80 deg, intensity 52
29.81 deg, intensity 41
37.02 deg, intensity 41
50.28 deg, intensity 36
36.12 deg, intensity 32
27.31 deg, intensity 25
21.71 deg, intensity 25

---

(9)
This entry pairs a crystal structure of K2PrAgI6 with its theoretical powder diffraction line list. Radiation: copper Kα. Structure: a crystal structure in the Materials Project, relaxed with PBE.

```
data_K2PrAgI6
_chemical_formula_sum 'K2 Pr1 Ag1 I6'
_symmetry_space_group_name_H-M 'P 1'
_symmetry_Int_Tables_number 1
_symmetry_space_group_name_Hall 'P 1'
_cell_length_a 8.696
_cell_length_b 8.696
_cell_length_c 8.696
_cell_angle_alpha 60.00
_cell_angle_beta 60.00
_cell_angle_gamma 60.00
loop_
_atom_site_label
_atom_site_type_symbol
_atom_site_fract_x
_atom_site_fract_y
_atom_site_fract_z
K1 K 0.250 0.250 0.250
K2 K 0.750 0.750 0.750
Pr1 Pr 0.000 0.000 0.000
Ag1 Ag 0.500 0.500 0.500
I1 I 0.254 0.254 0.746
I2 I 0.254 0.746 0.254
I3 I 0.254 0.746 0.746
I4 I 0.746 0.254 0.254
I5 I 0.746 0.254 0.746
I6 I 0.746 0.746 0.254
```

The 10 most intense peaks (2θ from 10° to 90°), most intense first:
29.04 deg, intensity 100
14.41 deg, intensity 79
41.54 deg, intensity 74
25.08 deg, intensity 55
32.56 deg, intensity 44
68.21 deg, intensity 33
51.48 deg, intensity 26
49.14 deg, intensity 25
75.79 deg, intensity 24
44.19 deg, intensity 24

---

Please write out number 3 again, unchanged.
This entry pairs a crystal structure of LiC2O5 with its theoretical powder diffraction line list. Radiation: copper Kα. Structure: a crystal structure in the Materials Project, relaxed with PBE.

```
data_LiC2O5
_chemical_formula_sum 'Li1 C2 O5'
_symmetry_space_group_name_H-M 'P 1'
_symmetry_Int_Tables_number 1
_symmetry_space_group_name_Hall 'P 1'
_cell_length_a 3.675
_cell_length_b 5.951
_cell_length_c 6.889
_cell_angle_alpha 72.99
_cell_angle_beta 84.35
_cell_angle_gamma 86.33
loop_
_atom_site_label
_atom_site_type_symbol
_atom_site_fract_x
_atom_site_fract_y
_atom_site_fract_z
Li1 Li 0.000 0.000 0.000
C1 C 0.026 0.151 0.427
C2 C 0.621 0.556 0.642
O1 O 0.127 0.083 0.591
O2 O 0.483 0.644 0.489
O3 O 0.505 0.957 0.995
O4 O 0.762 0.466 0.793
O5 O 0.922 0.220 0.263
```

The 10 most intense peaks (2θ from 10° to 90°), most intense first:
31.50 deg, intensity 100
30.44 deg, intensity 97
28.54 deg, intensity 91
13.49 deg, intensity 60
23.46 deg, intensity 34
27.17 deg, intensity 34
34.48 deg, intensity 26
15.58 deg, intensity 20
35.30 deg, intensity 19
35.19 deg, intensity 16